[1]
Diffraction record for V5Ge5Ir. The PXRD pattern is calculated, not measured: it uses a crystal structure in Alexandria, relaxed with PBE and copper Kα.
Intensities are scaled so that the largest is 100.

```
data_V5Ge5Ir
_chemical_formula_sum 'V10 Ge10 Ir2'
_symmetry_space_group_name_H-M 'C 1 2/m 1'
_symmetry_Int_Tables_number 12
_symmetry_space_group_name_Hall '-C 2y'
_cell_length_a 8.979
_cell_length_b 4.603
_cell_length_c 8.743
_cell_angle_alpha 90.00
_cell_angle_beta 95.81
_cell_angle_gamma 90.00
loop_
_atom_site_label
_atom_site_fract_x
_atom_site_fract_y
_atom_site_fract_z
_atom_site_occupancy
V1 0.000 0.000 0.000 1
V2 0.060 0.500 0.161 1
V3 0.208 0.500 0.936 1
Ge1 0.000 0.500 0.500 1
Ge2 0.151 0.000 0.769 1
Ge3 0.172 0.000 0.300 1
Ir1 0.000 0.000 0.500 1
```

The 10 most intense peaks (10° ≤ 2θ ≤ 90°), low angle first:
index	two_theta	I_rel
2 0 -1	21.42	33.4
1 1 0	21.72	54.7
2 0 1	23.29	36.5
2 0 2	30.09	53.6
0 2 0	39.14	100.0
3 1 -2	40.04	36.6
3 1 2	43.25	87.8
4 0 -2	43.65	63.7
1 1 -4	46.37	72.4
4 2 -2	60.05	47.7


[2]
Diffraction record for V4Ge4Ir. The PXRD pattern is calculated, not measured: it uses a crystal structure in Alexandria, relaxed with PBE and copper Kα.
Intensities are scaled so that the largest is 100.

```
data_V4Ge4Ir
_chemical_formula_sum 'V8 Ge8 Ir2'
_symmetry_space_group_name_H-M 'I 4/m'
_symmetry_Int_Tables_number 87
_symmetry_space_group_name_Hall '-I 4'
_cell_length_a 7.509
_cell_length_b 7.509
_cell_length_c 4.802
_cell_angle_alpha 90.00
_cell_angle_beta 90.00
_cell_angle_gamma 90.00
loop_
_atom_site_label
_atom_site_fract_x
_atom_site_fract_y
_atom_site_fract_z
_atom_site_occupancy
V1 0.113 0.203 0.000 1
Ge1 0.056 0.333 0.500 1
Ir1 0.000 0.000 0.500 1
```

The 10 most intense peaks (10° ≤ 2θ ≤ 90°), low angle first:
index	two_theta	I_rel
1 0 1	21.97	35.4
2 0 0	23.70	17.0
1 2 1	32.54	23.9
0 0 2	37.46	50.9
1 3 0	37.89	43.2
3 0 1	40.65	100.0
3 2 1	47.59	44.6
1 3 2	54.34	30.0
3 0 3	69.74	19.4
1 6 1	80.31	18.2


[3]
Diffraction record for V5Ge2Ir2. The PXRD pattern is calculated, not measured: it uses a crystal structure in Alexandria, relaxed with PBE and copper Kα.
Intensities are scaled so that the largest is 100.

```
data_V5Ge2Ir2
_chemical_formula_sum 'V20 Ge8 Ir8'
_symmetry_space_group_name_H-M 'I m a 2'
_symmetry_Int_Tables_number 46
_symmetry_space_group_name_Hall 'I 2 -2a'
_cell_length_a 15.436
_cell_length_b 6.904
_cell_length_c 4.743
_cell_angle_alpha 90.00
_cell_angle_beta 90.00
_cell_angle_gamma 90.00
loop_
_atom_site_label
_atom_site_fract_x
_atom_site_fract_y
_atom_site_fract_z
_atom_site_occupancy
V1 0.095 0.224 0.000 1
V2 0.170 0.581 0.815 1
V3 0.250 0.247 0.112 1
Ge1 0.000 0.000 0.312 1
Ge2 0.250 0.577 0.324 1
Ir1 0.073 0.618 0.294 1
```

The 10 most intense peaks (10° ≤ 2θ ≤ 90°), low angle first:
index	two_theta	I_rel
2 0 0	11.47	58.5
3 1 0	21.54	30.8
0 1 1	22.74	34.3
6 0 0	34.87	30.8
3 2 1	36.63	57.6
0 0 2	37.94	35.8
1 3 0	39.59	38.3
1 1 2	40.64	32.8
6 1 1	42.04	100.0
5 2 1	43.72	81.2


[4]
Diffraction record for YGe3Ir5. The PXRD pattern is calculated, not measured: it uses a crystal structure in Alexandria, relaxed with PBE and copper Kα.
Intensities are scaled so that the largest is 100.

```
data_YGe3Ir5
_chemical_formula_sum 'Y4 Ge12 Ir20'
_symmetry_space_group_name_H-M 'C m c m'
_symmetry_Int_Tables_number 63
_symmetry_space_group_name_Hall '-C 2c 2'
_cell_length_a 4.061
_cell_length_b 12.925
_cell_length_c 12.196
_cell_angle_alpha 90.00
_cell_angle_beta 90.00
_cell_angle_gamma 90.00
loop_
_atom_site_label
_atom_site_fract_x
_atom_site_fract_y
_atom_site_fract_z
_atom_site_occupancy
Y1 0.000 0.210 0.250 1
Ge1 0.000 0.101 0.750 1
Ge2 0.000 0.386 0.561 1
Ir1 0.000 0.000 0.000 1
Ir2 0.000 0.203 0.573 1
Ir3 0.000 0.435 0.138 1
```

The 10 most intense peaks (10° ≤ 2θ ≤ 90°), low angle first:
index	two_theta	I_rel
0 0 2	14.53	43.0
0 2 1	15.52	63.2
1 1 3	31.91	51.1
1 1 4	37.57	100.0
1 5 0	41.41	57.6
1 1 5	43.86	27.2
1 5 2	44.10	28.7
2 0 0	44.63	55.2
0 2 6	46.86	22.4
0 6 3	47.78	27.8


[5]
Diffraction record for Y3Ge2Ir. The PXRD pattern is calculated, not measured: it uses a crystal structure in Alexandria, relaxed with PBE and copper Kα.
Intensities are scaled so that the largest is 100.

```
data_Y3Ge2Ir
_chemical_formula_sum 'Y12 Ge8 Ir4'
_symmetry_space_group_name_H-M 'P n m a'
_symmetry_Int_Tables_number 62
_symmetry_space_group_name_Hall '-P 2ac 2n'
_cell_length_a 11.740
_cell_length_b 4.238
_cell_length_c 11.288
_cell_angle_alpha 90.00
_cell_angle_beta 90.00
_cell_angle_gamma 90.00
loop_
_atom_site_label
_atom_site_fract_x
_atom_site_fract_y
_atom_site_fract_z
_atom_site_occupancy
Y1 0.055 0.250 0.129 1
Y2 0.121 0.750 0.555 1
Y3 0.224 0.250 0.800 1
Ge1 0.009 0.750 0.311 1
Ge2 0.189 0.750 0.002 1
Ir1 0.130 0.250 0.372 1
```

The 10 most intense peaks (10° ≤ 2θ ≤ 90°), low angle first:
index	two_theta	I_rel
1 0 1	10.87	62.5
2 0 1	17.03	49.7
1 0 2	17.43	42.1
2 1 2	30.46	39.8
0 1 3	31.79	88.4
3 1 2	35.03	100.0
4 1 1	38.14	69.4
2 1 4	41.40	62.2
0 2 0	42.66	56.6
2 2 5	62.11	30.4


[6]
Diffraction record for Yb5Ge10Ir4. The PXRD pattern is calculated, not measured: it uses a crystal structure in Alexandria, relaxed with PBE and copper Kα.
Intensities are scaled so that the largest is 100.

```
data_Yb5Ge10Ir4
_chemical_formula_sum 'Yb10 Ge20 Ir8'
_symmetry_space_group_name_H-M 'P 4/m b m'
_symmetry_Int_Tables_number 127
_symmetry_space_group_name_Hall '-P 4 2ab'
_cell_length_a 13.025
_cell_length_b 13.025
_cell_length_c 4.394
_cell_angle_alpha 90.00
_cell_angle_beta 90.00
_cell_angle_gamma 90.00
loop_
_atom_site_label
_atom_site_fract_x
_atom_site_fract_y
_atom_site_fract_z
_atom_site_occupancy
Yb1 0.000 0.000 0.000 1
Yb2 0.115 0.385 0.500 1
Yb3 0.173 0.673 0.500 1
Ge1 0.005 0.843 0.500 1
Ge2 0.068 0.568 0.000 1
Ge3 0.164 0.198 0.000 1
Ir1 0.019 0.754 0.000 1
```

The 10 most intense peaks (10° ≤ 2θ ≤ 90°), low angle first:
index	two_theta	I_rel
2 2 0	19.27	20.1
3 2 1	32.08	27.7
4 0 1	34.28	100.0
4 1 1	34.98	38.7
5 1 0	35.13	25.3
3 3 1	35.68	71.0
4 4 0	39.12	20.9
0 0 2	41.09	56.6
6 2 0	43.97	23.7
8 4 1	67.80	22.2


[7]
Diffraction record for KGe4. The PXRD pattern is calculated, not measured: it uses a crystal structure in Alexandria, relaxed with PBE and copper Kα.
Intensities are scaled so that the largest is 100.

```
data_KGe4
_chemical_formula_sum 'K1 Ge4'
_symmetry_space_group_name_H-M 'P m -3 m'
_symmetry_Int_Tables_number 221
_symmetry_space_group_name_Hall '-P 4 2 3'
_cell_length_a 5.432
_cell_length_b 5.432
_cell_length_c 5.432
_cell_angle_alpha 90.00
_cell_angle_beta 90.00
_cell_angle_gamma 90.00
loop_
_atom_site_label
_atom_site_fract_x
_atom_site_fract_y
_atom_site_fract_z
_atom_site_occupancy
K1 0.000 0.000 0.000 1
Ge1 0.000 0.000 0.500 1
Ge2 0.500 0.500 0.500 1
```

The 10 most intense peaks (10° ≤ 2θ ≤ 90°), low angle first:
index	two_theta	I_rel
1 0 0	16.32	7.9
1 1 1	28.46	100.0
2 0 0	32.98	88.2
2 2 0	47.33	62.4
3 1 1	56.16	44.7
2 2 2	58.89	21.2
4 0 0	69.17	9.7
3 3 1	76.42	17.9
4 2 0	78.79	26.6
4 2 2	88.09	20.3


[8]
Diffraction record for K3Ge. The PXRD pattern is calculated, not measured: it uses a crystal structure in Alexandria, relaxed with PBE and copper Kα.
Intensities are scaled so that the largest is 100.

```
data_K3Ge
_chemical_formula_sum 'K12 Ge4'
_symmetry_space_group_name_H-M 'F m -3 m'
_symmetry_Int_Tables_number 225
_symmetry_space_group_name_Hall '-F 4 2 3'
_cell_length_a 8.619
_cell_length_b 8.619
_cell_length_c 8.619
_cell_angle_alpha 90.00
_cell_angle_beta 90.00
_cell_angle_gamma 90.00
loop_
_atom_site_label
_atom_site_fract_x
_atom_site_fract_y
_atom_site_fract_z
_atom_site_occupancy
K1 0.000 0.000 0.000 1
K2 0.250 0.250 0.250 1
Ge1 0.000 0.000 0.500 1
```

The 10 most intense peaks (10° ≤ 2θ ≤ 90°), low angle first:
index	two_theta	I_rel
1 1 1	17.82	6.0
2 0 0	20.61	3.3
2 2 0	29.31	100.0
3 1 1	34.51	3.9
4 0 0	41.93	17.6
4 2 2	51.98	35.6
4 4 0	60.79	10.7
6 2 0	68.90	14.2
4 4 4	76.59	3.4
6 4 2	84.03	16.1


[9]
Diffraction record for K3Ge17. The PXRD pattern is calculated, not measured: it uses a crystal structure in Alexandria, relaxed with PBE and copper Kα.
Intensities are scaled so that the largest is 100.

a b c (Å): 15.949 15.949 15.949
angles (deg): 90.00 90.00 90.00
Space group Fd-3m (No. 227, origin choice 2)
Symmetry-distinct sites (fractional):
K  0.000  0.000  0.000 [16 per cell]
K  0.125  0.125  0.625 [8 per cell]
Ge  0.031  0.031  0.219 [32 per cell]
Ge  0.067  0.067  0.372 [96 per cell]
Ge  0.125  0.125  0.125 [8 per cell]

The 10 most intense peaks (10° ≤ 2θ ≤ 90°), low angle first:
index	two_theta	I_rel
3 1 1	18.45	20.0
4 2 2	27.40	22.9
5 1 1	29.09	71.5
4 4 0	31.74	36.4
5 3 1	33.23	67.2
7 3 3	46.61	31.8
6 6 0	48.43	100.0
5 5 5	49.49	29.2
7 5 3	52.26	17.3
10 6 4	73.16	24.4


[10]
Diffraction record for KLi3GeO4. The PXRD pattern is calculated, not measured: it uses a crystal structure in Alexandria, relaxed with PBE and copper Kα.
Intensities are scaled so that the largest is 100.

```
data_KLi3GeO4
_chemical_formula_sum 'K4 Li12 Ge4 O16'
_symmetry_space_group_name_H-M 'P -1'
_symmetry_Int_Tables_number 2
_symmetry_space_group_name_Hall '-P 1'
_cell_length_a 5.929
_cell_length_b 7.575
_cell_length_c 10.049
_cell_angle_alpha 83.56
_cell_angle_beta 76.54
_cell_angle_gamma 79.76
loop_
_atom_site_label
_atom_site_fract_x
_atom_site_fract_y
_atom_site_fract_z
_atom_site_occupancy
K1 0.004 0.383 0.384 1
K2 0.042 0.141 0.128 1
Li1 0.188 0.449 0.897 1
Li2 0.193 0.943 0.395 1
Li3 0.195 0.175 0.646 1
Li4 0.430 0.048 0.876 1
Li5 0.463 0.573 0.373 1
Li6 0.477 0.323 0.114 1
Ge1 0.166 0.706 0.148 1
Ge2 0.442 0.790 0.634 1
O1 0.138 0.204 0.850 1
O2 0.179 0.711 0.324 1
O3 0.190 0.934 0.593 1
O4 0.194 0.487 0.090 1
O5 0.346 0.610 0.756 1
O6 0.362 0.838 0.035 1
O7 0.382 0.326 0.508 1
O8 0.395 0.105 0.278 1
```

The 10 most intense peaks (10° ≤ 2θ ≤ 90°), low angle first:
index	two_theta	I_rel
1 1 1	18.22	62.5
1 0 -1	19.69	39.1
0 1 2	21.06	100.0
0 1 -2	22.54	57.6
0 2 0	23.95	46.9
2 0 1	30.74	33.1
2 -1 1	35.10	52.6
1 2 -2	35.29	47.4
-1 2 2	36.82	86.4
0 0 4	36.88	85.9